No. 1
This entry pairs a crystal structure of SmHo5Sc6 with its theoretical powder diffractogram. Radiation: a wavelength of 1.5418 Å. Structure: a crystal structure in Alexandria, relaxed with GGA-PBE.

Most intense lines, 10 to 80 degrees two-theta, low angle first:
2θ/deg, I (rel.)
16.19, 53
30.70, 35
32.15, 100
32.72, 32
37.46, 66
53.64, 23
54.39, 22
64.28, 18

Structural model:
Cell: 5.9175 5.9175 11.1241 Å, 95.07 95.07 119.95°
Sites, in units of the cell vectors:
Sm 0.0000 0.0000 0.0000
Ho 0.1667 0.8333 0.5000
Ho 0.3333 0.6667 0.0000
Ho 0.5000 0.5000 0.5000
Ho 0.6667 0.3333 0.0000
Ho 0.8333 0.1667 0.5000
Sc 0.0835 0.4170 0.2508
Sc 0.2501 0.2501 0.7493
Sc 0.4170 0.0835 0.2508
Sc 0.5830 0.9165 0.7492
Sc 0.7499 0.7499 0.2507
Sc 0.9165 0.5830 0.7492



No. 2
This entry pairs a crystal structure of Zr3In2Br9 with its theoretical powder diffractogram. Radiation: a wavelength of 1.5418 Å. Structure: a crystal structure in Alexandria, relaxed with GGA-PBE.

Most intense lines, 10 to 80 degrees two-theta, low angle first:
2θ/deg, I (rel.)
11.04, 32
28.08, 33
28.42, 57
30.42, 63
30.74, 100
34.66, 79
48.40, 40
48.63, 40

Structural model:
Cell: 10.5684 10.5684 10.3484 Å, 102.37 102.37 117.65°
Sites, in units of the cell vectors:
Zr 0.0471 0.2324 0.6485
Zr 0.1317 0.1317 0.3642
Zr 0.2324 0.0471 0.6485
Zr 0.7676 0.9529 0.3515
Zr 0.8683 0.8683 0.6358
Zr 0.9529 0.7676 0.3515
In 0.2292 0.5528 0.1656
In 0.4472 0.7708 0.8344
In 0.5528 0.2292 0.1656
In 0.7708 0.4472 0.8344
Br 0.0915 0.8819 0.1781
Br 0.1069 0.5121 0.8343
Br 0.1181 0.9085 0.8219
Br 0.2007 0.4133 0.5168
Br 0.2109 0.7891 0.5000
Br 0.2843 0.2843 0.2052
Br 0.3210 0.3210 0.8363
Br 0.4133 0.2007 0.5168
Br 0.4879 0.8931 0.1657
Br 0.5121 0.1069 0.8343
Br 0.5867 0.7993 0.4832
Br 0.6790 0.6790 0.1637
Br 0.7157 0.7157 0.7948
Br 0.7891 0.2109 0.5000
Br 0.7993 0.5867 0.4832
Br 0.8819 0.0915 0.1781
Br 0.8931 0.4879 0.1657
Br 0.9085 0.1181 0.8219



No. 3
This entry pairs a crystal structure of CsInBiTe3 with its theoretical powder diffractogram. Radiation: a wavelength of 1.5418 Å. Structure: a crystal structure in Alexandria, relaxed with GGA-PBE.

Most intense lines, 10 to 80 degrees two-theta, low angle first:
2θ/deg, I (rel.)
10.51, 84
24.03, 29
25.27, 100
25.86, 50
29.65, 31
35.17, 38
37.82, 34
41.83, 24

Structural model:
Cell: 9.8228 5.1030 11.1481 Å, 90.00 107.97 90.00°
Sites, in units of the cell vectors:
Cs 0.2138 0.2500 0.2429
Cs 0.7862 0.7500 0.7571
In 0.1044 0.2500 0.6085
In 0.8956 0.7500 0.3915
Bi 0.3312 0.7500 0.8768
Bi 0.6688 0.2500 0.1232
Te 0.1187 0.2500 0.8704
Te 0.2104 0.7500 0.5442
Te 0.4739 0.7500 0.1546
Te 0.5261 0.2500 0.8454
Te 0.7896 0.2500 0.4558
Te 0.8813 0.7500 0.1296



No. 4
This entry pairs a crystal structure of Zr4WCl with its theoretical powder diffractogram. Radiation: a wavelength of 1.5418 Å. Structure: a crystal structure in Alexandria, relaxed with GGA-PBE.

Most intense lines, 10 to 80 degrees two-theta, low angle first:
2θ/deg, I (rel.)
19.01, 19
21.98, 12
31.28, 29
36.86, 100
38.56, 37
59.38, 32
65.26, 25
78.44, 13

Structural model:
Cell: 5.7187 5.7187 5.7187 Å, 60.00 60.00 60.00°
Sites, in units of the cell vectors:
Zr 0.3783 0.3783 0.3783
Zr 0.3783 0.3783 0.8651
Zr 0.3783 0.8651 0.3783
Zr 0.8651 0.3783 0.3783
W 0.7500 0.7500 0.7500
Cl 0.0000 0.0000 0.0000



No. 5
This entry pairs a crystal structure of Na2GaTe2 with its theoretical powder diffractogram. Radiation: a wavelength of 1.5418 Å. Structure: a crystal structure in Alexandria, relaxed with GGA-PBE.

Most intense lines, 10 to 80 degrees two-theta, low angle first:
2θ/deg, I (rel.)
22.06, 62
23.59, 52
25.19, 65
25.73, 98
32.21, 70
34.52, 76
35.20, 100
43.23, 49

Structural model:
Cell: 8.6228 8.6228 6.9245 Å, 90.00 90.00 144.93°
Sites, in units of the cell vectors:
Na 0.0100 0.9900 0.5000
Na 0.2012 0.7988 0.7573
Na 0.7988 0.2012 0.2573
Na 0.9900 0.0100 0.0000
Ga 0.3993 0.6007 0.6708
Ga 0.6007 0.3993 0.1708
Te 0.1618 0.8382 0.2336
Te 0.4330 0.5670 0.2682
Te 0.5670 0.4330 0.7682
Te 0.8382 0.1618 0.7336



No. 6
This entry pairs a crystal structure of Rb4Pu3AuSe8 with its theoretical powder diffractogram. Radiation: a wavelength of 1.5418 Å. Structure: a crystal structure in Alexandria, relaxed with GGA-PBE.

Most intense lines, 10 to 80 degrees two-theta, low angle first:
2θ/deg, I (rel.)
11.14, 82
24.58, 18
27.29, 59
28.76, 100
36.24, 19
38.73, 53
41.38, 39
52.04, 19

Structural model:
Cell: 8.7434 8.7434 9.3413 Å, 117.56 117.56 56.95°
Sites, in units of the cell vectors:
Rb 0.0000 0.0000 0.0000
Rb 0.0000 0.5000 0.0000
Rb 0.5000 0.0000 0.0000
Rb 0.5000 0.5000 0.0000
Pu 0.0000 0.0000 0.5000
Pu 0.0000 0.5000 0.5000
Pu 0.5000 0.0000 0.5000
Au 0.5000 0.5000 0.5000
Se 0.2287 0.2287 0.6956
Se 0.2412 0.2412 0.2884
Se 0.2443 0.7097 0.6789
Se 0.2903 0.7557 0.3211
Se 0.7097 0.2443 0.6789
Se 0.7557 0.2903 0.3211
Se 0.7588 0.7588 0.7116
Se 0.7713 0.7713 0.3044



No. 7
This entry pairs a crystal structure of Tb2Ga3Fe14C2 with its theoretical powder diffractogram. Radiation: a wavelength of 1.5418 Å. Structure: a crystal structure in Alexandria, relaxed with GGA-PBE.

Most intense lines, 10 to 80 degrees two-theta, low angle first:
2θ/deg, I (rel.)
29.73, 44
36.18, 37
41.71, 73
42.01, 46
42.17, 33
42.36, 100
43.36, 58
43.51, 22

Structural model:
Cell: 6.4904 6.4904 6.5191 Å, 96.49 96.49 82.65°
Sites, in units of the cell vectors:
Tb 0.1517 0.1517 0.3378
Tb 0.8483 0.8483 0.6622
Ga 0.0000 0.5000 0.0000
Ga 0.5000 0.0000 0.0000
Ga 0.5000 0.5000 0.5000
Fe 0.1513 0.6508 0.3451
Fe 0.1552 0.1552 0.8457
Fe 0.2052 0.7948 0.0000
Fe 0.2144 0.5017 0.7147
Fe 0.3492 0.8487 0.6549
Fe 0.4084 0.4084 0.0953
Fe 0.4983 0.7856 0.2853
Fe 0.5017 0.2144 0.7147
Fe 0.5916 0.5916 0.9047
Fe 0.6508 0.1513 0.3451
Fe 0.7856 0.4983 0.2853
Fe 0.7948 0.2052 0.0000
Fe 0.8448 0.8448 0.1543
Fe 0.8487 0.3492 0.6549
C 0.0000 0.5000 0.5000
C 0.5000 0.0000 0.5000



No. 8
This entry pairs a crystal structure of Cu2Ag3Pd8 with its theoretical powder diffractogram. Radiation: a wavelength of 1.5418 Å. Structure: a crystal structure in Alexandria, relaxed with GGA-PBE.

Most intense lines, 10 to 80 degrees two-theta, low angle first:
2θ/deg, I (rel.)
34.12, 22
36.82, 42
39.58, 92
40.54, 65
42.15, 100
43.89, 46
45.71, 78
69.56, 24

Structural model:
Cell: 8.9612 2.7667 9.2481 Å, 90.00 110.58 90.00°
Sites, in units of the cell vectors:
Cu 0.0477 0.0000 0.2736
Cu 0.9523 0.0000 0.7264
Ag 0.4555 0.5000 0.7197
Ag 0.5000 0.0000 0.0000
Ag 0.5445 0.5000 0.2803
Pd 0.1606 0.0000 0.5819
Pd 0.2071 0.5000 0.8586
Pd 0.2453 0.0000 0.1236
Pd 0.3081 0.5000 0.4021
Pd 0.6919 0.5000 0.5979
Pd 0.7547 0.0000 0.8764
Pd 0.7929 0.5000 0.1414
Pd 0.8394 0.0000 0.4181